Diffraction record for AcCdHg5. The powder XRD pattern is calculated, not measured: it uses a cell relaxed with PBE and Cu Kα X-rays.
Intensities are scaled so that the largest is 100.

Structural model:
a b c (Å): 6.184 10.168 7.247
angles (deg): 90.00 113.59 90.00
Space group C2/m (No. 12)
Unique sites:
Ac 0.000 0.000 0.000 [2 per cell]
Cd 0.000 0.500 0.500 [2 per cell]
Hg 0.000 0.000 0.500 [2 per cell]
Hg 0.119 0.256 0.751 [8 per cell]

Most intense lines, 10° ≤ 2θ ≤ 90°, in order of falling intensity:
Position (°2θ), I (rel.)
32.2, 100
35.3, 37
28.9, 28
33.9, 23
43.2, 19
44.3, 18


Diffraction record for CsTbCuCl6. The powder XRD pattern is calculated, not measured: it uses a cell relaxed with PBE and Cu Kα X-rays.
Intensities are scaled so that the largest is 100.

Structural model:
a b c (Å): 7.274 11.006 7.779
angles (deg): 90.00 97.21 90.00
Space group C2 (No. 5)
Unique sites:
Cs 0.000 0.000 0.000 [2 per cell]
Tb 0.000 0.640 0.500 [2 per cell]
Cu 0.000 0.291 0.500 [2 per cell]
Cl 0.110 0.440 0.693 [4 per cell]
Cl 0.179 0.766 0.745 [4 per cell]
Cl 0.184 0.146 0.652 [4 per cell]

Most intense lines, 10° ≤ 2θ ≤ 90°, in order of falling intensity:
Position (°2θ), I (rel.)
17.7, 100
19.6, 77
19.8, 76
11.5, 58
37.0, 55
31.8, 46


Diffraction record for Fe3Ir. The powder XRD pattern is calculated, not measured: it uses a cell relaxed with PBE and Cu Kα X-rays.
Intensities are scaled so that the largest is 100.

Structural model:
a b c (Å): 5.899 5.899 5.899
angles (deg): 90.00 90.00 90.00
Space group Fm-3m (No. 225)
Unique sites:
Fe 0.000 0.000 0.000 [4 per cell]
Fe 0.250 0.250 0.250 [8 per cell]
Ir 0.000 0.000 0.500 [4 per cell]

Most intense lines, 10° ≤ 2θ ≤ 90°, in order of falling intensity:
Position (°2θ), I (rel.)
43.4, 100
79.6, 32
26.2, 32
30.3, 17
51.4, 16
63.0, 16